Calculated powder X-ray diffraction pattern of HoPuB for copper Kα, from a GGA-PBE-relaxed structure.
Peak positions follow from Bragg's law for the DFT cell and can differ from measured ones.

Cell and atoms:
```
data_HoPuB
_chemical_formula_sum 'Ho2 Pu2 B2'
_space_group_name_H-M_alt 'P m m m'
_space_group_IT_number 47
_space_group_name_Hall '-P 2 2'
_cell_length_a 3.3711
_cell_length_b 3.6853
_cell_length_c 10.8753
_cell_angle_alpha 90.00
_cell_angle_beta 90.00
_cell_angle_gamma 90.00
loop_
_atom_site_label
_atom_site_type_symbol
_atom_site_fract_x
_atom_site_fract_y
_atom_site_fract_z
Ho1 Ho 0.0000 0.0000 0.0000
Ho2 Ho 0.5000 0.0000 0.5000
Pu1 Pu 0.0000 0.5000 0.2651
B1 B 0.5000 0.5000 0.0752
```

Principal peaks in the range 2θ = 5–70°, most intense first:
(hkl)	2theta	I (rel.)
0 1 2	29.28	100
0 0 4	32.94	35
1 1 2	39.85	32
2 1 2	62.99	32
1 0 2	31.22	31
1 1 1	37.08	26
1 0 0	26.44	22
1 1 0	36.11	20

=====

Calculated powder X-ray diffraction pattern of Ho2B10Rh for copper Kα, from a GGA-PBE-relaxed structure.
Peak positions follow from Bragg's law for the DFT cell and can differ from measured ones.

Cell and atoms:
```
data_Ho2B10Rh
_chemical_formula_sum 'Ho4 B20 Rh2'
_space_group_name_H-M_alt 'P b a m'
_space_group_IT_number 55
_space_group_name_Hall '-P 2 2ab'
_cell_length_a 5.6739
_cell_length_b 11.2857
_cell_length_c 4.1543
_cell_angle_alpha 90.00
_cell_angle_beta 90.00
_cell_angle_gamma 90.00
loop_
_atom_site_label
_atom_site_type_symbol
_atom_site_fract_x
_atom_site_fract_y
_atom_site_fract_z
Ho1 Ho 0.1997 0.1363 0.0000
B1 B 0.0553 0.3071 0.5000
B2 B 0.1187 0.9577 0.5000
B3 B 0.1371 0.8024 0.5000
B4 B 0.2198 0.3808 0.1983
Rh1 Rh 0.0000 0.5000 0.5000
```

Principal peaks in the range 2θ = 5–70°, most intense first:
(hkl)	2theta	I (rel.)
1 2 1	31.03	100
1 2 0	22.22	72
0 4 1	38.57	55
2 0 1	38.42	43
1 1 1	27.76	35
1 2 2	49.44	28
2 4 0	45.33	27
0 0 2	43.57	21

=====

Calculated powder X-ray diffraction pattern of HoB2Rh4 for copper Kα, from a GGA-PBE-relaxed structure.
Peak positions follow from Bragg's law for the DFT cell and can differ from measured ones.

Cell and atoms:
```
data_HoB2Rh4
_chemical_formula_sum 'Ho4 B8 Rh16'
_space_group_name_H-M_alt 'C 1 2/c 1'
_space_group_IT_number 15
_space_group_name_Hall '-C 2yc'
_cell_length_a 5.0547
_cell_length_b 9.8647
_cell_length_c 8.0022
_cell_angle_alpha 90.00
_cell_angle_beta 108.29
_cell_angle_gamma 90.00
loop_
_atom_site_label
_atom_site_type_symbol
_atom_site_fract_x
_atom_site_fract_y
_atom_site_fract_z
Ho1 Ho 0.0000 0.1250 0.2500
B1 B 0.0000 0.2755 0.7500
B2 B 0.0000 0.4753 0.7500
Rh1 Rh 0.1217 0.3753 0.9930
Rh2 Rh 0.1942 0.1252 0.6395
```

Principal peaks in the range 2θ = 5–70°, most intense first:
(hkl)	2theta	I (rel.)
2 2 -1	40.08	100
1 1 -3	35.65	93
1 3 -3	44.37	54
0 4 0	36.43	53
1 5 2	58.71	24
2 6 -1	68.02	19
0 2 5	64.13	12
3 1 -4	63.93	8

=====

Calculated powder X-ray diffraction pattern of Ho2ScB2Rh5 for copper Kα, from a GGA-PBE-relaxed structure.
Peak positions follow from Bragg's law for the DFT cell and can differ from measured ones.

Cell and atoms:
```
data_Ho2ScB2Rh5
_chemical_formula_sum 'Ho4 Sc2 B4 Rh10'
_space_group_name_H-M_alt 'P 4/m b m'
_space_group_IT_number 127
_space_group_name_Hall '-P 4 2ab'
_cell_length_a 9.6864
_cell_length_b 9.6864
_cell_length_c 3.1960
_cell_angle_alpha 90.00
_cell_angle_beta 90.00
_cell_angle_gamma 90.00
loop_
_atom_site_label
_atom_site_type_symbol
_atom_site_fract_x
_atom_site_fract_y
_atom_site_fract_z
Ho1 Ho 0.1752 0.3248 0.0000
Sc1 Sc 0.0000 0.0000 0.0000
B1 B 0.1222 0.6222 0.0000
Rh1 Rh 0.0000 0.5000 0.5000
Rh2 Rh 0.0707 0.7746 0.5000
```

Principal peaks in the range 2θ = 5–70°, most intense first:
(hkl)	2theta	I (rel.)
2 1 1	34.89	100
4 1 0	38.31	86
3 1 1	40.80	73
4 2 0	41.70	30
3 2 1	44.03	28
2 2 1	38.53	28
3 3 0	39.47	26
5 4 1	68.64	23

=====

Calculated powder X-ray diffraction pattern of HoB4Ru4 for copper Kα, from a GGA-PBE-relaxed structure.
Peak positions follow from Bragg's law for the DFT cell and can differ from measured ones.

Cell and atoms:
```
data_HoB4Ru4
_chemical_formula_sum 'Ho2 B8 Ru8'
_space_group_name_H-M_alt 'P 42/n m c'
_space_group_IT_number 137
_cell_length_a 5.3667
_cell_length_b 5.3667
_cell_length_c 7.3446
_cell_angle_alpha 90.00
_cell_angle_beta 90.00
_cell_angle_gamma 90.00
loop_
_space_group_symop_operation_xyz
'x,y,z'
'-x,-y,-z'
'-y+1/2,x,z+1/2'
'y+1/2,-x,-z+1/2'
'-x+1/2,-y+1/2,z'
'x+1/2,y+1/2,-z'
'y,-x+1/2,z+1/2'
'-y,x+1/2,-z+1/2'
'x+1/2,-y,-z'
'-x+1/2,y,z'
'-y,-x,-z+1/2'
'y,x,z+1/2'
'-x,y+1/2,-z'
'x,-y+1/2,z'
'y+1/2,x+1/2,-z+1/2'
'-y+1/2,-x+1/2,z+1/2'
loop_
_atom_site_label
_atom_site_type_symbol
_atom_site_fract_x
_atom_site_fract_y
_atom_site_fract_z
Ho1 Ho 0.2500 0.7500 0.2500
B1 B 0.0781 0.2500 0.0996
Ru1 Ru 0.0049 0.7500 0.6106
```

Principal peaks in the range 2θ = 5–70°, most intense first:
(hkl)	2theta	I (rel.)
2 1 1	39.50	100
1 0 3	40.50	66
2 0 1	35.62	65
1 0 2	29.47	37
2 1 2	45.13	33
1 1 0	23.44	27
3 2 1	63.80	26
1 1 2	33.97	23

=====

Calculated powder X-ray diffraction pattern of HoBRu3 for copper Kα, from a GGA-PBE-relaxed structure.
Peak positions follow from Bragg's law for the DFT cell and can differ from measured ones.

Cell and atoms:
```
data_HoBRu3
_chemical_formula_sum 'Ho4 B4 Ru12'
_space_group_name_H-M_alt 'C m m m'
_space_group_IT_number 65
_space_group_name_Hall '-C 2 2'
_cell_length_a 8.0860
_cell_length_b 11.4421
_cell_length_c 3.1227
_cell_angle_alpha 90.00
_cell_angle_beta 90.00
_cell_angle_gamma 90.00
loop_
_atom_site_label
_atom_site_type_symbol
_atom_site_fract_x
_atom_site_fract_y
_atom_site_fract_z
Ho1 Ho 0.0000 0.2080 0.0000
B1 B 0.2101 0.0000 0.0000
Ru1 Ru 0.0000 0.0000 0.5000
Ru2 Ru 0.0000 0.5000 0.0000
Ru3 Ru 0.2024 0.3757 0.5000
```

Principal peaks in the range 2θ = 5–70°, most intense first:
(hkl)	2theta	I (rel.)
1 3 1	38.90	100
2 0 1	36.35	95
2 4 0	38.55	92
3 3 0	41.00	62
0 4 1	42.87	49
3 1 1	45.14	31
2 2 1	39.73	30
4 0 0	44.84	29